Entry 1:
The following is a calculated XRD peak list of NpTiMnTc. It was derived from a structure optimized by DFT (PBE), using Cu Kα (weighted mean of Kα1 and Kα2).
Lines closer than 0.1° are merged.

Crystal structure
abc: 6.368 6.368 6.368
angles: 90.00 90.00 90.00
Space group F-43m (No. 216)
Asymmetric unit:
Np  0.000  0.000  0.000 x4
Ti  0.000  0.000  0.500 x4
Mn  0.250  0.250  0.750 x4
Tc  0.250  0.250  0.250 x4

Peak list (10 most intense, 10 to 90 degrees two-theta, sorted by position)
h k l  d [Å]  intensity
1 1 1  3.677  45
2 0 0  3.184  10
2 2 0  2.252  100
3 1 1  1.920  25
4 0 0  1.592  17
3 3 1  1.461  11
4 2 0  1.424  4
4 2 2  1.300  34
5 1 1  1.226  8
4 4 0  1.126  11

=====

Entry 2:
The following is a calculated XRD peak list of SiO2. It was derived from a structure optimized by DFT (PBE), using Cu Kα (weighted mean of Kα1 and Kα2).
Lines closer than 0.1° are merged.

Crystal structure
abc: 8.878 8.878 8.878
angles: 90.00 90.00 90.00
Space group I-43m (No. 217)
Asymmetric unit:
Si  0.000  0.250  0.500 x12
O  0.036  0.354  0.646 x24

Peak list (10 most intense, 10 to 90 degrees two-theta, sorted by position)
h k l  d [Å]  intensity
1 1 0  6.278  100
2 0 0  4.439  11
2 1 1  3.624  40
2 2 0  3.139  9
3 1 0  2.807  8
2 2 2  2.563  15
3 3 0  2.093  5
4 3 1  1.741  11
6 2 2  1.338  6
5 5 2  1.208  6

=====

Entry 3:
The following is a calculated XRD peak list of CsZnPdS2. It was derived from a structure optimized by DFT (PBE), using Cu Kα (weighted mean of Kα1 and Kα2).
Lines closer than 0.1° are merged.

Crystal structure
abc: 3.976 7.645 7.873
angles: 90.00 90.00 90.00
Space group Pccm (No. 49)
Asymmetric unit:
Cs  0.000  0.000  0.250 x2
Zn  0.000  0.500  0.000 x2
Pd  0.500  0.500  0.250 x2
S  0.436  0.294  0.000 x4

Peak list (10 most intense, 10 to 90 degrees two-theta, sorted by position)
h k l  d [Å]  intensity
0 1 0  7.645  20
0 2 0  3.823  49
1 1 0  3.527  44
0 1 2  3.500  16
1 2 0  2.755  14
0 2 2  2.742  33
1 1 2  2.627  100
2 0 0  1.988  16
0 0 4  1.968  17
1 3 2  1.884  53

=====

Entry 4:
The following is a calculated XRD peak list of Ca2Ni10H. It was derived from a structure optimized by DFT (PBE), using Cu Kα (weighted mean of Kα1 and Kα2).
Lines closer than 0.1° are merged.

Crystal structure
abc: 8.551 4.990 7.916
angles: 90.00 90.54 90.00
Space group Cm (No. 8)
Asymmetric unit:
Ca  0.000  0.000  0.000 x2
Ca  0.009  0.000  0.487 x2
Ni  0.001  0.500  0.756 x2
Ni  0.003  0.500  0.249 x2
Ni  0.164  0.500  0.500 x2
Ni  0.168  0.500  0.004 x2
Ni  0.249  0.241  0.755 x4
Ni  0.254  0.250  0.252 x4
Ni  0.333  0.000  0.003 x2
Ni  0.343  0.000  0.500 x2
H  0.300  0.500  0.647 x2

Peak list (10 most intense, 10 to 90 degrees two-theta, sorted by position)
h k l  d [Å]  intensity
1 1 0  4.309  50
2 0 0  4.275  22
3 1 0  2.475  16
2 2 0  2.155  29
0 2 2  2.108  100
3 1 2  2.091  49
0 0 4  1.979  49
2 2 -2  1.896  30
4 0 -2  1.889  45
6 2 0  1.237  18

=====

Entry 5:
The following is a calculated XRD peak list of K2MnGe3Pt4. It was derived from a structure optimized by DFT (PBE), using Cu Kα (weighted mean of Kα1 and Kα2).
Lines closer than 0.1° are merged.

Crystal structure
abc: 4.388 4.388 10.565
angles: 90.00 90.00 90.00
Space group P-4m2 (No. 115)
Asymmetric unit:
K  0.000  0.500  0.250 x2
Mn  0.000  0.000  0.500 x1
Ge  0.000  0.500  0.876 x2
Ge  0.500  0.500  0.500 x1
Pt  0.000  0.000  0.000 x1
Pt  0.000  0.500  0.632 x2
Pt  0.500  0.500  0.000 x1

Peak list (10 most intense, 10 to 90 degrees two-theta, sorted by position)
h k l  d [Å]  intensity
0 0 2  5.283  51
1 0 1  4.052  66
0 0 3  3.522  25
1 1 1  2.977  52
1 0 3  2.746  46
1 1 2  2.675  97
2 0 0  2.194  89
1 1 4  2.011  100
2 2 0  1.551  30
3 1 4  1.228  41

=====

Entry 6:
The following is a calculated XRD peak list of Ba6NaAl2. It was derived from a structure optimized by DFT (PBE), using Cu Kα (weighted mean of Kα1 and Kα2).
Lines closer than 0.1° are merged.

Crystal structure
abc: 11.729 11.946 12.590
angles: 90.00 90.00 90.00
Space group Immm (No. 71)
Asymmetric unit:
Ba  0.000  0.209  0.183 x8
Ba  0.184  0.219  0.500 x8
Ba  0.234  0.500  0.267 x8
Na  0.000  0.500  0.000 x2
Na  0.000  0.500  0.500 x2
Al  0.000  0.000  0.393 x4
Al  0.113  0.000  0.000 x4

Peak list (10 most intense, 10 to 90 degrees two-theta, sorted by position)
h k l  d [Å]  intensity
0 2 2  4.333  19
2 2 0  4.185  15
1 0 3  3.953  23
3 0 1  3.734  18
2 2 2  3.485  100
1 2 3  3.295  30
3 2 1  3.166  26
0 4 0  2.987  20
4 0 2  2.659  15
3 5 2  1.938  23